1.
Diffraction record for Hg2Te2I. The powder XRD pattern is simulated, not measured: it uses a PBE-relaxed structure and Cu Ka.
No peak broadening, texture or thermal motion is included.

Principal peaks in the range 2θ = 5–70°, by intensity:
- 27.18 deg, rel. 100
- 29.47 deg, rel. 100
- 30.43 deg, rel. 66
- 12.80 deg, rel. 54
- 44.67 deg, rel. 48
- 16.89 deg, rel. 48

Cell and atoms:
```
10
Lattice="7.073 0.000 0.000 1.494 7.216 0.000 1.807 2.262 7.619" Properties=species:S:1:pos:R:3 pbc="T T T"
Hg 1.412 1.069 0.477
Hg 2.742 2.483 3.973
Hg 7.632 6.994 3.646
Hg 8.961 8.408 7.142
Te 1.849 5.661 1.671
Te 3.856 1.428 1.745
Te 6.518 8.049 5.874
Te 8.525 3.817 5.948
I 3.850 6.202 5.539
I 6.523 3.276 2.080
```

2.
Diffraction record for HgTeI. The powder XRD pattern is simulated, not measured: it uses a PBE-relaxed structure and Cu Ka.
No peak broadening, texture or thermal motion is included.

Principal peaks in the range 2θ = 5–70°, by intensity:
- 22.67 deg, rel. 100
- 20.25 deg, rel. 68
- 38.74 deg, rel. 64
- 29.82 deg, rel. 63
- 13.41 deg, rel. 60
- 41.90 deg, rel. 56

Cell and atoms:
```
6
Lattice="4.650 0.000 0.000 2.283 6.719 0.000 0.006 1.470 7.744" Properties=species:S:1:pos:R:3 pbc="T T T"
Hg 1.141 2.849 2.237
Hg 5.798 5.340 5.508
Te 3.473 6.030 7.000
Te 3.467 2.159 0.744
I 1.139 2.332 5.081
I 5.800 5.857 2.663
```

3.
Diffraction record for ThHgI4. The powder XRD pattern is simulated, not measured: it uses a PBE-relaxed structure and Cu Ka.
No peak broadening, texture or thermal motion is included.

Principal peaks in the range 2θ = 5–70°, by intensity:
- 26.51 deg, rel. 100
- 12.47 deg, rel. 76
- 21.25 deg, rel. 76
- 24.71 deg, rel. 58
- 40.51 deg, rel. 44
- 8.87 deg, rel. 40

Cell and atoms:
```
12
Lattice="14.874 0.000 0.000 0.000 4.643 0.000 -3.121 0.000 9.964" Properties=species:S:1:pos:R:3 pbc="T T T"
Th 0.000 0.000 0.000
Th 7.437 2.322 0.000
Hg -1.561 2.322 4.982
Hg 5.876 0.000 4.982
I -1.179 2.322 9.027
I 1.264 0.000 2.682
I 3.052 2.322 7.282
I 5.495 0.000 0.937
I 6.258 0.000 9.027
I 8.701 2.322 2.682
I 10.489 0.000 7.282
I 12.932 2.322 0.937
```

4.
Diffraction record for ThTlHg2I6. The powder XRD pattern is simulated, not measured: it uses a PBE-relaxed structure and Cu Ka.
No peak broadening, texture or thermal motion is included.

Principal peaks in the range 2θ = 5–70°, by intensity:
- 30.52 deg, rel. 100
- 23.96 deg, rel. 54
- 37.45 deg, rel. 49
- 14.22 deg, rel. 38
- 18.91 deg, rel. 35
- 28.67 deg, rel. 23

Cell and atoms:
```
10
Lattice="8.318 0.000 0.000 -4.158 7.206 0.000 -4.158 -2.400 8.249" Properties=species:S:1:pos:R:3 pbc="T T T"
Th 0.000 0.000 0.000
Tl 4.157 2.400 3.908
Hg 0.004 4.803 0.199
Hg 0.006 0.002 4.660
I -3.226 -0.097 6.444
I -1.323 2.201 1.758
I 2.569 0.048 1.756
I -2.461 4.459 6.446
I 2.915 4.964 1.764
I 1.532 2.841 6.452
```

5.
Diffraction record for TiHgI4. The powder XRD pattern is simulated, not measured: it uses a PBE-relaxed structure and Cu Ka.
No peak broadening, texture or thermal motion is included.

Principal peaks in the range 2θ = 5–70°, by intensity:
- 22.71 deg, rel. 100
- 26.71 deg, rel. 83
- 24.31 deg, rel. 82
- 24.99 deg, rel. 79
- 26.90 deg, rel. 78
- 19.93 deg, rel. 78

Cell and atoms:
```
12
Lattice="8.125 0.000 0.000 0.000 8.589 0.000 -3.265 0.000 9.522" Properties=species:S:1:pos:R:3 pbc="T T T"
Ti -0.169 2.147 2.328
Ti 5.029 6.442 7.194
Hg 1.196 2.147 7.171
Hg 3.665 6.442 2.351
I 1.232 2.147 0.189
I 0.389 0.083 3.727
I 0.389 4.211 3.727
I -0.604 6.442 7.777
I 5.465 2.147 1.745
I 4.471 4.378 5.795
I 4.471 8.506 5.795
I 3.629 6.442 9.333
```

6.
Diffraction record for Ti4HgI8. The powder XRD pattern is simulated, not measured: it uses a PBE-relaxed structure and Cu Ka.
No peak broadening, texture or thermal motion is included.

Principal peaks in the range 2θ = 5–70°, by intensity:
- 24.50 deg, rel. 100
- 29.03 deg, rel. 87
- 29.94 deg, rel. 75
- 26.32 deg, rel. 62
- 24.19 deg, rel. 60
- 34.42 deg, rel. 56

Cell and atoms:
```
13
Lattice="11.090 -1.829 0.000 11.090 1.829 0.000 -9.938 0.000 11.936" Properties=species:S:1:pos:R:3 pbc="T T T"
Ti 0.000 0.000 0.000
Ti -3.609 0.000 7.192
Ti 7.081 0.000 4.919
Ti 13.386 0.000 0.194
Hg 12.819 0.000 6.070
I -1.893 0.000 5.042
I 1.640 0.000 2.215
I -5.742 0.000 11.205
I 9.189 0.000 0.924
I 1.808 0.000 9.916
I 5.365 0.000 7.071
I 8.882 0.000 8.774
I 16.767 0.000 3.341
```

7.
Diffraction record for Tl2HgI2. The powder XRD pattern is simulated, not measured: it uses a PBE-relaxed structure and Cu Ka.
No peak broadening, texture or thermal motion is included.

Principal peaks in the range 2θ = 5–70°, by intensity:
- 29.21 deg, rel. 100
- 39.28 deg, rel. 91
- 25.67 deg, rel. 71
- 37.12 deg, rel. 25
- 26.69 deg, rel. 21
- 26.33 deg, rel. 21

Cell and atoms:
```
20
Lattice="10.565 0.000 0.000 0.000 6.940 0.000 0.000 0.000 12.253" Properties=species:S:1:pos:R:3 pbc="T T T"
Tl 0.564 1.735 1.587
Tl 1.202 1.735 7.566
Tl 4.081 5.205 1.439
Tl 4.718 5.205 7.714
Tl 5.846 1.735 4.539
Tl 6.484 1.735 10.813
Tl 9.363 5.205 4.687
Tl 10.000 5.205 10.666
Hg 2.454 1.735 4.451
Hg 2.828 5.205 10.577
Hg 7.737 1.735 1.676
Hg 8.110 5.205 7.802
I 0.479 5.205 1.686
I 1.403 5.205 6.994
I 3.880 1.735 0.868
I 4.803 1.735 7.812
I 5.761 5.205 4.441
I 6.685 5.205 11.385
I 9.162 1.735 5.258
I 10.086 1.735 10.567
```

8.
Diffraction record for Tl2Hg2I7. The powder XRD pattern is simulated, not measured: it uses a PBE-relaxed structure and Cu Ka.
No peak broadening, texture or thermal motion is included.

Principal peaks in the range 2θ = 5–70°, by intensity:
- 17.73 deg, rel. 100
- 26.46 deg, rel. 45
- 16.72 deg, rel. 43
- 33.20 deg, rel. 40
- 18.74 deg, rel. 35
- 42.20 deg, rel. 29

Cell and atoms:
```
11
Lattice="5.536 -6.796 0.000 5.536 6.796 0.000 -1.062 0.000 7.389" Properties=species:S:1:pos:R:3 pbc="T T T"
Tl 5.536 4.032 0.000
Tl 5.536 -4.032 0.000
Hg 2.126 0.000 4.307
Hg 7.883 0.000 3.083
I 1.896 2.433 5.723
I 0.829 0.000 1.788
I 1.896 -2.433 5.723
I 5.005 0.000 3.695
I 8.113 2.433 1.666
I 9.180 0.000 5.601
I 8.113 -2.433 1.666
```